For SrTl2Au2, a structure optimized by DFT (PBE) gives the calculated X-ray powder pattern in this record (Cu Kα X-rays).
Intensities are scaled so that the largest is 1000.

Top 10 peaks for 2θ = 10–90°, low angle first:
- 2θ = 21.1°, rel. 251
- 2θ = 30.9°, rel. 1000
- 2θ = 31.1°, rel. 169
- 2θ = 34.3°, rel. 326
- 2θ = 34.9°, rel. 179
- 2θ = 37.1°, rel. 354
- 2θ = 38.6°, rel. 209
- 2θ = 40.9°, rel. 142
- 2θ = 42.4°, rel. 244
- 2θ = 57.6°, rel. 201

Lattice parameters (Å, degrees): 14.0100 14.0100 14.0100 162.51 160.06 26.64
Element x y z (fractional)
Sr1 0.3222 0.0722 0.2500
Sr2 0.6778 0.9278 0.7500
Tl1 0.0484 0.7984 0.2500
Tl2 0.4474 0.6974 0.7500
Tl3 0.5526 0.3026 0.2500
Tl4 0.9516 0.2016 0.7500
Au1 0.1260 0.3760 0.7500
Au2 0.2261 0.4761 0.7500
Au3 0.7739 0.5239 0.2500
Au4 0.8740 0.6240 0.2500

For CaSm7Er4, a structure optimized by DFT (PBE) gives the calculated X-ray powder pattern in this record (Cu Kα X-rays).
Intensities are scaled so that the largest is 1000.

Top 10 peaks for 2θ = 10–90°, low angle first:
- 2θ = 28.6°, rel. 330
- 2θ = 29.2°, rel. 281
- 2θ = 30.8°, rel. 535
- 2θ = 31.6°, rel. 1000
- 2θ = 33.2°, rel. 649
- 2θ = 33.3°, rel. 315
- 2θ = 50.2°, rel. 408
- 2θ = 57.4°, rel. 144
- 2θ = 60.0°, rel. 158
- 2θ = 60.1°, rel. 237

Lattice parameters (Å, degrees): 6.2866 7.2682 8.9504 89.81 76.53 89.95
Element x y z (fractional)
Ca1 0.0000 0.0000 0.0000
Sm1 0.0000 0.5000 0.0000
Sm2 0.2250 0.0002 0.3406
Sm3 0.2829 0.2541 0.6613
Sm4 0.4983 0.7414 0.9990
Sm5 0.5017 0.2586 0.0010
Sm6 0.7171 0.7459 0.3387
Sm7 0.7750 0.9998 0.6594
Er1 0.2196 0.5001 0.3333
Er2 0.2815 0.7439 0.6626
Er3 0.7185 0.2561 0.3374
Er4 0.7804 0.4999 0.6667